# CaH4Cl2O2
Calculated powder diffraction line list, Cu Kα X-rays. Input: a structure optimized by DFT (GGA-PBE).
Intensities are scaled so that the largest is 100.

Largest 6 diffraction maxima, by angle, 2θ from 10° to 90°:
d [Å], I_rel, (hkl)
6.063, 35, 0 0 2
4.350, 50, 1 1 1
3.089, 30, 1 2 1
3.053, 39, 1 1 3
2.826, 100, 1 2 2
2.114, 45, 2 0 4

Atomic structure:
```
data_CaH4Cl2O2
_chemical_formula_sum 'Ca4 H16 Cl8 O8'
_cell_length_a 5.899
_cell_length_b 7.601
_cell_length_c 12.126
_cell_angle_alpha 90.00
_cell_angle_beta 90.00
_cell_angle_gamma 90.00
_symmetry_space_group_name_H-M 'P b c n'
_symmetry_Int_Tables_number 60
loop_
_symmetry_equiv_pos_as_xyz
'x,y,z'
'-x,-y,-z'
'-x+1/2,-y+1/2,z+1/2'
'x+1/2,y+1/2,-z+1/2'
'x+1/2,-y+1/2,-z'
'-x+1/2,y+1/2,z'
'-x,y,-z+1/2'
'x,-y,z+1/2'
loop_
_atom_site_label
_atom_site_type_symbol
_atom_site_fract_x
_atom_site_fract_y
_atom_site_fract_z
Ca1 Ca 0.000 0.218 0.250
H1 H 0.099 0.215 0.603
H2 H 0.245 0.351 0.536
Cl1 Cl 0.219 0.051 0.865
O1 O 0.238 0.287 0.606
```